For CaH12W6Cl2, DFT lattice parameters and positions (GGA-PBE) gives the calculated X-ray diffraction stick pattern in this record (copper Kα).

Crystal structure
```
data_CaH12W6Cl2
_space_group_name_H-M_alt 'P -6 2 m'
_space_group_IT_number 189
_space_group_name_Hall 'P -6 -2'
_cell_length_a 10.6509
_cell_length_b 10.6509
_cell_length_c 2.6612
_cell_angle_alpha 90.00
_cell_angle_beta 90.00
_cell_angle_gamma 120.00
loop_
_atom_site_label
_atom_site_type_symbol
_atom_site_fract_x
_atom_site_fract_y
_atom_site_fract_z
_atom_site_occupancy
Ca1 Ca 0.0000 0.0000 0.0000 1
H1 H 0.0454 0.5787 0.0000 1
H2 H 0.1479 0.7828 0.5000 1
W1 W 0.0000 0.2423 0.5000 1
W2 W 0.0000 0.7334 0.0000 1
Cl1 Cl 0.3333 0.6667 0.0000 1
```

Peak list (10 most intense, 10 to 80 degrees two-theta, in order of falling intensity)
| d [Å] | I (rel.) |
| --- | --- |
| 2.115 | 100 |
| 2.380 | 71 |
| 2.306 | 65 |
| 1.656 | 50 |
| 4.612 | 41 |
| 3.486 | 40 |
| 3.075 | 37 |
| 5.325 | 35 |
| 1.406 | 32 |
| 2.558 | 23 |